(1)
Starting from a PBE-relaxed structure, the PXRD pattern of TbBeBi was computed for Cu Kα (weighted mean of Kα1 and Kα2).
Kinematic intensities with the Lorentz-polarization factor, no thermal factor.

Atomic structure:
Unit cell a=6.4325 b=6.4325 c=12.1047 alpha=90.00 beta=90.00 gamma=120.00
Space group P6_222 (No. 180)
Inequivalent atoms, fractional coordinates:
Tb: 0.0000 0.5000 0.3882 x6
Be: 0.1793 0.5896 0.1667 x6
Bi: 0.0000 0.0000 0.1667 x3
Bi: 0.0000 0.5000 0.6667 x3

Largest 10 diffraction maxima, low angle first, 10° ≤ 2θ ≤ 80°:
17.53 deg, d 5.061, rel. 14, (1 0 1); 27.29 deg, d 3.268, rel. 59, (1 0 3); 32.14 deg, d 2.785, rel. 100, (2 0 0); 33.71 deg, d 2.659, rel. 30, (1 0 4); 35.70 deg, d 2.515, rel. 32, (1 1 3); 40.95 deg, d 2.204, rel. 18, (1 1 4); 48.79 deg, d 1.867, rel. 26, (2 1 3); 52.98 deg, d 1.728, rel. 16, (2 1 4); 57.29 deg, d 1.608, rel. 20, (2 2 0); 67.22 deg, d 1.393, rel. 12, (4 0 0)

(2)
Starting from a PBE-relaxed structure, the PXRD pattern of LiTbGe was computed for Cu Kα (weighted mean of Kα1 and Kα2).
Kinematic intensities with the Lorentz-polarization factor, no thermal factor.

Atomic structure:
Unit cell a=6.6233 b=6.6233 c=6.6233 alpha=90.00 beta=90.00 gamma=90.00
Space group F-43m (No. 216)
Inequivalent atoms, fractional coordinates:
Li: 0.0000 0.0000 0.0000 x4
Tb: 0.0000 0.0000 0.5000 x4
Ge: 0.2500 0.2500 0.2500 x4

Largest 10 diffraction maxima, low angle first, 10° ≤ 2θ ≤ 80°:
23.26 deg, d 3.824, rel. 100, (1 1 1); 26.92 deg, d 3.312, rel. 14, (2 0 0); 38.44 deg, d 2.342, rel. 80, (2 2 0); 45.42 deg, d 1.997, rel. 51, (3 1 1); 47.56 deg, d 1.912, rel. 4, (2 2 2); 55.50 deg, d 1.656, rel. 14, (4 0 0); 60.98 deg, d 1.519, rel. 21, (3 3 1); 62.74 deg, d 1.481, rel. 5, (4 2 0); 69.53 deg, d 1.352, rel. 28, (4 2 2); 74.43 deg, d 1.275, rel. 16, (5 1 1)

(3)
Starting from a PBE-relaxed structure, the PXRD pattern of Pm6As5Br was computed for Cu Kα (weighted mean of Kα1 and Kα2).
Kinematic intensities with the Lorentz-polarization factor, no thermal factor.

Atomic structure:
Unit cell a=7.3724 b=12.7420 c=7.3433 alpha=90.00 beta=109.51 gamma=90.00
Space group C2/m (No. 12)
Inequivalent atoms, fractional coordinates:
Pm: 0.2364 0.0000 0.2589 x4
Pm: 0.2383 0.1752 0.7412 x8
As: 0.0000 0.0000 0.5000 x2
As: 0.0000 0.1673 0.0000 x4
As: 0.0000 0.3380 0.5000 x4
Br: 0.0000 0.5000 0.0000 x2

Largest 10 diffraction maxima, low angle first, 10° ≤ 2θ ≤ 80°:
25.67 deg, d 3.471, rel. 13, (1 3 -1); 29.75 deg, d 3.003, rel. 100, (1 3 1); 42.54 deg, d 2.125, rel. 49, (2 0 2); 42.63 deg, d 2.121, rel. 25, (1 3 -3); 52.79 deg, d 1.734, rel. 13, (2 6 -2); 52.91 deg, d 1.730, rel. 7, (0 0 4); 61.78 deg, d 1.502, rel. 12, (4 0 -4); 69.95 deg, d 1.345, rel. 11, (5 3 -3); 70.11 deg, d 1.342, rel. 21, (3 3 -5); 77.91 deg, d 1.226, rel. 11, (4 6 -4)

(4)
Starting from a PBE-relaxed structure, the PXRD pattern of LiPm2Hg7 was computed for Cu Kα (weighted mean of Kα1 and Kα2).
Kinematic intensities with the Lorentz-polarization factor, no thermal factor.

Atomic structure:
Unit cell a=4.9502 b=4.9502 c=12.1922 alpha=90.00 beta=90.00 gamma=120.00
Space group P3m1 (No. 156)
Inequivalent atoms, fractional coordinates:
Li: 0.0000 0.0000 0.0000 x1
Pm: 0.3333 0.6667 0.7940 x1
Pm: 0.6667 0.3333 0.4487 x1
Hg: 0.0000 0.0000 0.3371 x1
Hg: 0.0000 0.0000 0.6556 x1
Hg: 0.3333 0.6667 0.0513 x1
Hg: 0.3333 0.6667 0.2937 x1
Hg: 0.3333 0.6667 0.5496 x1
Hg: 0.6667 0.3333 0.1671 x1
Hg: 0.6667 0.3333 0.9100 x1

Largest 10 diffraction maxima, low angle first, 10° ≤ 2θ ≤ 80°:
20.72 deg, d 4.287, rel. 12, (1 0 0); 21.98 deg, d 4.044, rel. 23, (0 1 1); 25.40 deg, d 3.507, rel. 13, (1 0 2); 30.30 deg, d 2.949, rel. 42, (0 1 3); 36.16 deg, d 2.484, rel. 89, (1 0 4); 36.30 deg, d 2.475, rel. 100, (1 1 0); 47.98 deg, d 1.896, rel. 12, (2 0 3); 52.17 deg, d 1.753, rel. 32, (0 2 4); 65.24 deg, d 1.430, rel. 51, (3 0 0); 72.89 deg, d 1.298, rel. 13, (1 1 8)

(5)
Starting from a PBE-relaxed structure, the PXRD pattern of Y4AlGaO was computed for Cu Kα (weighted mean of Kα1 and Kα2).
Kinematic intensities with the Lorentz-polarization factor, no thermal factor.

Atomic structure:
Unit cell a=6.4752 b=15.8742 c=6.4808 alpha=90.00 beta=90.00 gamma=90.00
Space group Cmcm (No. 63)
Inequivalent atoms, fractional coordinates:
Y: 0.0000 0.0736 0.2500 x4
Y: 0.0000 0.4209 0.2500 x4
Y: 0.2500 0.2500 0.0000 x8
Al: 0.0000 0.3868 0.7500 x4
Ga: 0.0000 0.1159 0.7500 x4
O: 0.0000 0.2513 0.2500 x4

Largest 10 diffraction maxima, low angle first, 10° ≤ 2θ ≤ 80°:
11.15 deg, d 7.937, rel. 23, (0 2 0); 29.79 deg, d 2.999, rel. 100, (2 2 0); 33.88 deg, d 2.646, rel. 37, (0 6 0); 34.37 deg, d 2.609, rel. 30, (1 5 1); 35.78 deg, d 2.509, rel. 81, (2 4 0); 39.34 deg, d 2.290, rel. 68, (2 0 2); 52.87 deg, d 1.732, rel. 40, (2 6 2); 56.85 deg, d 1.619, rel. 22, (4 0 0); 65.50 deg, d 1.425, rel. 28, (4 2 2); 69.02 deg, d 1.361, rel. 23, (4 4 2)

(6)
Starting from a PBE-relaxed structure, the PXRD pattern of KCd3Ge was computed for Cu Kα (weighted mean of Kα1 and Kα2).
Kinematic intensities with the Lorentz-polarization factor, no thermal factor.

Atomic structure:
Unit cell a=4.7514 b=4.7514 c=11.9800 alpha=90.00 beta=90.00 gamma=90.00
Space group I4mm (No. 107)
Inequivalent atoms, fractional coordinates:
K: 0.0000 0.0000 0.0000 x2
Cd: 0.0000 0.0000 0.3909 x2
Cd: 0.0000 0.5000 0.2374 x4
Ge: 0.0000 0.0000 0.6171 x2

Largest 10 diffraction maxima, low angle first, 10° ≤ 2θ ≤ 80°:
14.79 deg, d 5.990, rel. 35, (0 0 2); 20.10 deg, d 4.417, rel. 33, (1 0 1); 29.21 deg, d 3.057, rel. 25, (1 0 3); 30.51 deg, d 2.930, rel. 100, (1 1 2); 37.87 deg, d 2.376, rel. 62, (2 0 0); 40.34 deg, d 2.236, rel. 64, (1 1 4); 42.24 deg, d 2.139, rel. 20, (1 0 5); 54.63 deg, d 1.680, rel. 20, (2 2 0); 63.87 deg, d 1.457, rel. 22, (3 1 2); 70.06 deg, d 1.343, rel. 24, (3 1 4)

Copy entry 5 word for word.
Starting from a PBE-relaxed structure, the PXRD pattern of Y4AlGaO was computed for Cu Kα (weighted mean of Kα1 and Kα2).
Kinematic intensities with the Lorentz-polarization factor, no thermal factor.

Atomic structure:
Unit cell a=6.4752 b=15.8742 c=6.4808 alpha=90.00 beta=90.00 gamma=90.00
Space group Cmcm (No. 63)
Inequivalent atoms, fractional coordinates:
Y: 0.0000 0.0736 0.2500 x4
Y: 0.0000 0.4209 0.2500 x4
Y: 0.2500 0.2500 0.0000 x8
Al: 0.0000 0.3868 0.7500 x4
Ga: 0.0000 0.1159 0.7500 x4
O: 0.0000 0.2513 0.2500 x4

Largest 10 diffraction maxima, low angle first, 10° ≤ 2θ ≤ 80°:
11.15 deg, d 7.937, rel. 23, (0 2 0); 29.79 deg, d 2.999, rel. 100, (2 2 0); 33.88 deg, d 2.646, rel. 37, (0 6 0); 34.37 deg, d 2.609, rel. 30, (1 5 1); 35.78 deg, d 2.509, rel. 81, (2 4 0); 39.34 deg, d 2.290, rel. 68, (2 0 2); 52.87 deg, d 1.732, rel. 40, (2 6 2); 56.85 deg, d 1.619, rel. 22, (4 0 0); 65.50 deg, d 1.425, rel. 28, (4 2 2); 69.02 deg, d 1.361, rel. 23, (4 4 2)